The following is a simulated powder diffraction line list of CrGeN2. It was derived from a structure optimized by DFT (PBE), using Cu Ka.
Lines closer than 0.1° are merged.

Structural model:
a = 5.502 Å, b = 6.675 Å, c = 5.284 Å
α = 90.00°, β = 90.00°, γ = 90.00°
Space group Pna2_1 (No. 33)
One atom of each set of equivalent atoms:
Cr 0.071 0.117 0.000 (multiplicity 4)
Ge 0.068 0.623 0.997 (multiplicity 4)
N 0.070 0.610 0.355 (multiplicity 4)
N 0.103 0.145 0.387 (multiplicity 4)

Peak list (10 most intense, 10° ≤ 2θ ≤ 90°, sorted by position)
2θ 31.35, intensity 32
2θ 32.55, intensity 28
2θ 33.93, intensity 47
2θ 35.76, intensity 100
2θ 36.84, intensity 31
2θ 47.73, intensity 14
2θ 55.03, intensity 14
2θ 57.33, intensity 23
2θ 61.91, intensity 30
2θ 68.31, intensity 20

The following is a simulated powder diffraction line list of IrRh3. It was derived from a structure optimized by DFT (PBE), using Cu Ka.
Lines closer than 0.1° are merged.

Structural model:
a = 3.850 Å, b = 3.850 Å, c = 7.728 Å
α = 90.00°, β = 90.00°, γ = 90.00°
Space group I4/mmm (No. 139)
One atom of each set of equivalent atoms:
Ir 0.000 0.000 0.000 (multiplicity 2)
Rh 0.000 0.000 0.500 (multiplicity 2)
Rh 0.000 0.500 0.250 (multiplicity 4)

Peak list (10 most intense, 10° ≤ 2θ ≤ 90°, sorted by position)
2θ 23.02, intensity 3
2θ 25.85, intensity 8
2θ 40.53, intensity 100
2θ 47.03, intensity 16
2θ 47.21, intensity 32
2θ 68.84, intensity 21
2θ 68.98, intensity 10
2θ 82.92, intensity 12
2θ 83.18, intensity 25
2θ 87.69, intensity 11

The following is a simulated powder diffraction line list of Ce2Si3Pt3. It was derived from a structure optimized by DFT (PBE), using Cu Ka.
Lines closer than 0.1° are merged.

Structural model:
a = 2.735 Å, b = 2.735 Å, c = 21.070 Å
α = 90.00°, β = 90.00°, γ = 90.00°
Space group P4/mmm (No. 123)
One atom of each set of equivalent atoms:
Ce 0.000 0.000 0.246 (multiplicity 2)
Si 0.000 0.000 0.000 (multiplicity 1)
Si 0.000 0.000 0.388 (multiplicity 2)
Pt 0.000 0.000 0.112 (multiplicity 2)
Pt 0.000 0.000 0.500 (multiplicity 1)

Peak list (10 most intense, 10° ≤ 2θ ≤ 90°, sorted by position)
2θ 12.60, intensity 63
2θ 21.08, intensity 30
2θ 32.74, intensity 100
2θ 34.04, intensity 37
2θ 35.21, intensity 23
2θ 39.27, intensity 26
2θ 46.98, intensity 37
2θ 47.95, intensity 56
2θ 59.28, intensity 30
2θ 88.04, intensity 21